[1]
# Ca4PO2
Theoretical PXRD pattern, Cu Kα X-rays. Input: the PBE geometry in Alexandria.

The 6 most intense peaks (2θ from 10° to 80°), low angle first:
33.48°, I 68.3, (0 2 4)
33.60°, I 45.5, (1 1 3)
33.78°, I 100.0, (1 3 1)
36.26°, I 43.7, (1 3 2)
48.51°, I 31.8, (2 0 0)
60.22°, I 22.0, (2 2 4)

Structure:
```
data_Ca4PO2
_chemical_formula_sum 'Ca16 P4 O8'
_cell_length_a 3.754
_cell_length_b 11.843
_cell_length_c 12.003
_cell_angle_alpha 90.00
_cell_angle_beta 90.00
_cell_angle_gamma 90.00
_symmetry_space_group_name_H-M 'C m c m'
_symmetry_Int_Tables_number 63
_symmetry_space_group_name_Hall '-C 2c 2'
loop_
_atom_site_label
_atom_site_type_symbol
_atom_site_fract_x
_atom_site_fract_y
_atom_site_fract_z
Ca1 Ca 0.000 0.000 0.000
Ca2 Ca 0.000 0.267 0.112
Ca3 Ca 0.000 0.433 0.750
P1 P 0.000 0.113 0.750
O1 O 0.000 0.367 0.553
```

---

[2]
# CaPO4
Theoretical PXRD pattern, Cu Kα X-rays. Input: the PBE geometry in Alexandria.

The 6 most intense peaks (2θ from 10° to 80°), low angle first:
27.10°, I 49.5, (0 0 2)
29.07°, I 100.0, (0 2 1)
30.57°, I 100.0, (2 1 -2)
33.67°, I 28.9, (2 0 0)
46.02°, I 32.2, (2 1 -4)
51.33°, I 26.9, (2 2 1)

Structure:
```
data_CaPO4
_chemical_formula_sum 'Ca4 P4 O16'
_cell_length_a 6.658
_cell_length_b 6.947
_cell_length_c 8.229
_cell_angle_alpha 90.00
_cell_angle_beta 126.90
_cell_angle_gamma 90.00
_symmetry_space_group_name_H-M 'P 1 21/c 1'
_symmetry_Int_Tables_number 14
loop_
_symmetry_equiv_pos_as_xyz
'x,y,z'
'-x,-y,-z'
'-x,y+1/2,-z+1/2'
'x,-y+1/2,z+1/2'
loop_
_atom_site_label
_atom_site_type_symbol
_atom_site_fract_x
_atom_site_fract_y
_atom_site_fract_z
Ca1 Ca 0.190 0.145 0.271
P1 P 0.302 0.653 0.200
O1 O 0.128 0.669 0.609
O2 O 0.183 0.501 0.254
O3 O 0.339 0.579 0.041
O4 O 0.428 0.206 0.112
```

---

[3]
# Ca5P3O13
Theoretical PXRD pattern, Cu Kα X-rays. Input: the PBE geometry in Alexandria.

The 6 most intense peaks (2θ from 10° to 80°), low angle first:
25.79°, I 34.2, (0 0 2)
31.40°, I 100.0, (1 2 1)
31.97°, I 41.6, (1 1 2)
32.46°, I 59.9, (3 0 0)
46.21°, I 30.6, (2 2 2)
49.13°, I 35.0, (1 2 3)

Structure:
```
data_Ca5P3O13
_chemical_formula_sum 'Ca10 P6 O26'
_cell_length_a 9.5546
_cell_length_b 9.5546
_cell_length_c 6.9085
_cell_angle_alpha 90.00
_cell_angle_beta 90.00
_cell_angle_gamma 120.00
_symmetry_space_group_name_H-M 'P 63/m'
_symmetry_Int_Tables_number 176
_symmetry_space_group_name_Hall '-P 6c'
loop_
_atom_site_label
_atom_site_type_symbol
_atom_site_fract_x
_atom_site_fract_y
_atom_site_fract_z
Ca1 Ca 0.0000 0.2486 0.2500
Ca2 Ca 0.3333 0.6667 0.5017
P1 P 0.0298 0.6304 0.2500
O1 O 0.0000 0.0000 0.2500
O2 O 0.0844 0.7416 0.0688
O3 O 0.1244 0.5362 0.2500
O4 O 0.1552 0.4874 0.7500
```

---

[4]
# CaP3O9
Theoretical PXRD pattern, Cu Kα X-rays. Input: the PBE geometry in Alexandria.

The 6 most intense peaks (2θ from 10° to 80°), low angle first:
15.64°, I 25.9, (0 2 0)
24.08°, I 100.0, (0 0 2)
25.72°, I 70.8, (1 3 0)
25.88°, I 51.3, (2 2 0)
34.25°, I 26.4, (3 1 1)
49.29°, I 23.4, (0 0 4)

Structure:
```
data_CaP3O9
_chemical_formula_sum 'Ca4 P12 O36'
_cell_length_a 8.668
_cell_length_b 11.335
_cell_length_c 7.390
_cell_angle_alpha 90.00
_cell_angle_beta 90.00
_cell_angle_gamma 90.00
_symmetry_space_group_name_H-M 'C 2 2 21'
_symmetry_Int_Tables_number 20
loop_
_symmetry_equiv_pos_as_xyz
'x,y,z'
'-x,-y,z+1/2'
'x,-y,-z'
'-x,y,-z+1/2'
'x+1/2,y+1/2,z'
'-x+1/2,-y+1/2,z+1/2'
'x+1/2,-y+1/2,-z'
'-x+1/2,y+1/2,-z+1/2'
loop_
_atom_site_label
_atom_site_type_symbol
_atom_site_fract_x
_atom_site_fract_y
_atom_site_fract_z
Ca1 Ca 0.117 0.000 0.000
P1 P 0.008 0.329 0.454
P2 P 0.245 0.000 0.500
O1 O 0.000 0.376 0.250
O2 O 0.015 0.199 0.032
O3 O 0.137 0.393 0.957
O4 O 0.154 0.379 0.536
O5 O 0.155 0.020 0.670
```

---

[5]
# CaPmP2O8
Theoretical PXRD pattern, Cu Kα X-rays. Input: the PBE geometry in Alexandria.

The 6 most intense peaks (2θ from 10° to 80°), low angle first:
17.64°, I 29.6, (1 1 0)
18.96°, I 46.1, (1 0 1)
25.04°, I 100.0, (2 0 0)
33.89°, I 58.7, (1 1 2)
40.73°, I 21.8, (3 0 1)
50.05°, I 48.6, (3 1 2)

Structure:
```
data_CaPmP2O8
_chemical_formula_sum 'Ca2 Pm2 P4 O16'
_cell_length_a 7.111
_cell_length_b 7.111
_cell_length_c 6.220
_cell_angle_alpha 90.00
_cell_angle_beta 90.00
_cell_angle_gamma 90.00
_symmetry_space_group_name_H-M 'I -4 m 2'
_symmetry_Int_Tables_number 119
_symmetry_space_group_name_Hall 'I -4 -2'
loop_
_atom_site_label
_atom_site_type_symbol
_atom_site_fract_x
_atom_site_fract_y
_atom_site_fract_z
Ca1 Ca 0.000 0.000 0.000
Pm1 Pm 0.000 0.500 0.750
P1 P 0.000 0.000 0.500
P2 P 0.000 0.500 0.250
O1 O 0.000 0.173 0.652
O2 O 0.000 0.328 0.097
```

---

[6]
# CaPuP2O8
Theoretical PXRD pattern, Cu Kα X-rays. Input: the PBE geometry in Alexandria.

The 6 most intense peaks (2θ from 10° to 80°), low angle first:
17.82°, I 58.7, (1 1 0)
19.22°, I 95.5, (1 0 1)
25.31°, I 100.0, (2 0 0)
31.98°, I 48.5, (2 1 1)
34.42°, I 64.2, (1 1 2)
50.73°, I 53.0, (3 1 2)

Structure:
```
data_CaPuP2O8
_chemical_formula_sum 'Ca2 Pu2 P4 O16'
_cell_length_a 7.038
_cell_length_b 7.038
_cell_length_c 6.116
_cell_angle_alpha 90.00
_cell_angle_beta 90.00
_cell_angle_gamma 90.00
_symmetry_space_group_name_H-M 'I -4 m 2'
_symmetry_Int_Tables_number 119
_symmetry_space_group_name_Hall 'I -4 -2'
loop_
_atom_site_label
_atom_site_type_symbol
_atom_site_fract_x
_atom_site_fract_y
_atom_site_fract_z
Ca1 Ca 0.000 0.000 0.000
Pu1 Pu 0.000 0.500 0.750
P1 P 0.000 0.000 0.500
P2 P 0.000 0.500 0.250
O1 O 0.000 0.176 0.654
O2 O 0.000 0.329 0.089
```